# 1
# CrPd2WI
Simulated PXRD pattern, Cu Kα X-rays. Input: a cell relaxed with GGA-PBE.
Intensities are scaled so that the largest is 100.

Cell and atoms:
```
CrPd2WI
1.0
4.9919 0.0000 0.0000
0.0000 4.9919 0.0000
0.0000 0.0000 4.4972
Cr Pd W I
1 2 1 1
Direct
0.0000 0.0000 0.0000
0.0000 0.5000 0.5000
0.5000 0.0000 0.5000
0.0000 0.0000 0.5000
0.5000 0.5000 0.0000
```

The 10 most intense peaks (2θ from 10° to 90°), low angle first:
| two_theta | Rel. int. |
| --- | --- |
| 17.8 | 21 |
| 19.7 | 32 |
| 26.7 | 83 |
| 32.2 | 38 |
| 36.0 | 100 |
| 40.1 | 37 |
| 45.4 | 40 |
| 51.8 | 35 |
| 55.0 | 58 |
| 67.5 | 31 |

***

# 2
# Rb4CrI5
Simulated PXRD pattern, Cu Kα X-rays. Input: a cell relaxed with GGA-PBE.
Intensities are scaled so that the largest is 100.

Cell and atoms:
```
Rb4CrI5
1.0
-5.6371 5.6371 3.7220
5.6371 -5.6371 3.7220
5.6371 5.6371 -3.7220
Rb Cr I
4 1 5
Direct
0.0915 0.2992 0.3907
0.2992 0.9085 0.2077
0.7008 0.0915 0.7923
0.9085 0.7008 0.6093
0.5615 0.5615 0.0000
0.2370 0.5829 0.8251
0.4119 0.2370 0.6540
0.5829 0.7578 0.3460
0.7578 0.4119 0.1749
0.9458 0.9458 0.0000
```

The 10 most intense peaks (2θ from 10° to 90°), low angle first:
| two_theta | Rel. int. |
| --- | --- |
| 21.3 | 17 |
| 23.9 | 57 |
| 25.0 | 100 |
| 31.0 | 12 |
| 34.8 | 78 |
| 35.6 | 33 |
| 43.4 | 33 |
| 53.4 | 14 |
| 55.7 | 18 |
| 63.5 | 12 |

***

# 3
# CrReTe2I
Simulated PXRD pattern, Cu Kα X-rays. Input: a cell relaxed with GGA-PBE.
Intensities are scaled so that the largest is 100.

Cell and atoms:
```
CrReTe2I
1.0
5.1444 0.0000 0.0000
0.0000 5.1444 0.0000
0.0000 0.0000 5.8929
Cr Re Te I
1 1 2 1
Direct
0.0000 0.0000 0.0000
0.5000 0.5000 0.5000
0.0000 0.5000 0.5000
0.5000 0.0000 0.5000
0.5000 0.5000 0.0000
```

The 10 most intense peaks (2θ from 10° to 90°), low angle first:
| two_theta | Rel. int. |
| --- | --- |
| 15.0 | 64 |
| 17.2 | 98 |
| 28.8 | 54 |
| 30.3 | 73 |
| 34.9 | 100 |
| 35.1 | 34 |
| 38.2 | 27 |
| 46.9 | 86 |
| 50.2 | 35 |
| 59.7 | 41 |

***

# 4
# Cr2RhI
Simulated PXRD pattern, Cu Kα X-rays. Input: a cell relaxed with GGA-PBE.
Intensities are scaled so that the largest is 100.

Cell and atoms:
```
Cr2RhI
1.0
-3.4312 3.4312 3.8082
3.4312 -3.4312 3.8082
3.4312 3.4312 -3.8082
Cr Rh I
4 2 2
Direct
0.0844 0.1250 0.4594
0.3750 0.9156 0.0406
0.6656 0.6250 0.5406
0.8750 0.3344 0.9594
0.0000 0.0000 0.0000
0.7500 0.2500 0.5000
0.2500 0.7500 0.5000
0.5000 0.5000 0.0000
```

The 10 most intense peaks (2θ from 10° to 90°), low angle first:
| two_theta | Rel. int. |
| --- | --- |
| 26.0 | 18 |
| 29.8 | 100 |
| 37.1 | 45 |
| 48.3 | 49 |
| 53.4 | 14 |
| 55.2 | 28 |
| 62.4 | 11 |
| 74.8 | 12 |
| 80.4 | 16 |
| 86.6 | 9 |

***

# 5
# ZrCrRu2I
Simulated PXRD pattern, Cu Kα X-rays. Input: a cell relaxed with GGA-PBE.
Intensities are scaled so that the largest is 100.

Cell and atoms:
```
ZrCrRu2I
1.0
4.5122 0.0000 0.0000
0.0000 4.5122 0.0000
0.0000 0.0000 4.9232
Zr Cr Ru I
1 1 2 1
Direct
0.0000 0.0000 0.0000
0.0000 0.0000 0.5000
0.0000 0.5000 0.5000
0.5000 0.0000 0.5000
0.5000 0.5000 0.0000
```

The 10 most intense peaks (2θ from 10° to 90°), low angle first:
| two_theta | Rel. int. |
| --- | --- |
| 26.8 | 10 |
| 33.5 | 100 |
| 36.5 | 33 |
| 40.0 | 51 |
| 55.2 | 38 |
| 57.8 | 17 |
| 63.8 | 15 |
| 68.5 | 25 |
| 70.3 | 18 |
| 86.2 | 5 |

***

# 6
# CrSb2TeI
Simulated PXRD pattern, Cu Kα X-rays. Input: a cell relaxed with GGA-PBE.
Intensities are scaled so that the largest is 100.

Cell and atoms:
```
CrSb2TeI
1.0
5.2076 0.0000 0.0000
0.0000 5.2076 0.0000
0.0000 0.0000 5.0000
Cr Sb Te I
1 2 1 1
Direct
0.0000 0.0000 0.0000
0.0000 0.5000 0.0000
0.5000 0.0000 0.0000
0.0000 0.0000 0.5000
0.5000 0.5000 0.5000
```

The 10 most intense peaks (2θ from 10° to 90°), low angle first:
| two_theta | Rel. int. |
| --- | --- |
| 30.1 | 100 |
| 34.4 | 55 |
| 35.9 | 24 |
| 49.5 | 19 |
| 50.6 | 36 |
| 59.1 | 29 |
| 61.0 | 13 |
| 62.7 | 18 |
| 82.3 | 12 |
| 82.9 | 8 |

***

# 7
# CrSeI
Simulated PXRD pattern, Cu Kα X-rays. Input: a cell relaxed with GGA-PBE.
Intensities are scaled so that the largest is 100.

Cell and atoms:
```
CrSeI
1.0
3.8038 0.0000 0.0000
0.0000 5.0105 0.0000
-1.8260 0.0000 9.9795
Cr Se I
2 2 2
Direct
0.1974 0.2500 0.3904
0.8026 0.7500 0.6096
0.2218 0.7500 0.4413
0.7782 0.2500 0.5587
0.3967 0.7500 0.8055
0.6033 0.2500 0.1945
```

The 10 most intense peaks (2θ from 10° to 90°), low angle first:
| two_theta | Rel. int. |
| --- | --- |
| 19.8 | 100 |
| 25.2 | 23 |
| 29.8 | 46 |
| 32.4 | 81 |
| 32.6 | 66 |
| 35.8 | 48 |
| 43.5 | 34 |
| 43.7 | 24 |
| 49.1 | 40 |
| 49.3 | 33 |

***

# 8
# TlVCrI6
Simulated PXRD pattern, Cu Kα X-rays. Input: a cell relaxed with GGA-PBE.
Intensities are scaled so that the largest is 100.

Cell and atoms:
```
TlVCrI6
1.0
7.2650 0.0000 0.0000
-3.6325 6.2917 0.0000
0.0000 0.0000 7.7186
Tl V Cr I
1 1 1 6
Direct
0.0000 0.0000 0.0000
0.6667 0.3333 0.5000
0.3333 0.6667 0.5000
0.0030 0.3695 0.7045
0.0030 0.6335 0.2955
0.3665 0.3695 0.2955
0.3665 0.9970 0.7045
0.6305 0.6335 0.7045
0.6305 0.9970 0.2955
```

The 10 most intense peaks (2θ from 10° to 90°), low angle first:
| two_theta | Rel. int. |
| --- | --- |
| 18.2 | 45 |
| 27.1 | 100 |
| 28.4 | 13 |
| 33.9 | 61 |
| 39.7 | 17 |
| 43.1 | 42 |
| 51.7 | 11 |
| 53.8 | 23 |
| 55.9 | 13 |
| 73.1 | 13 |

***

# 9
# CrIn3
Simulated PXRD pattern, Cu Kα X-rays. Input: a cell relaxed with GGA-PBE.
Intensities are scaled so that the largest is 100.

Cell and atoms:
```
CrIn3
1.0
4.9531 2.8597 1.1064
-4.9531 2.8597 1.1064
0.0000 -5.7193 1.1064
Cr In
1 3
Direct
0.0000 0.0000 0.0000
0.0000 0.5000 0.5000
0.5000 0.0000 0.5000
0.5000 0.5000 0.0000
```

The 10 most intense peaks (2θ from 10° to 90°), low angle first:
| two_theta | Rel. int. |
| --- | --- |
| 17.9 | 11 |
| 34.2 | 100 |
| 36.3 | 85 |
| 50.7 | 31 |
| 59.7 | 19 |
| 63.9 | 30 |
| 65.3 | 14 |
| 71.9 | 11 |
| 83.3 | 14 |
| 87.0 | 13 |

***

# 10
# KSrCrIn2
Simulated PXRD pattern, Cu Kα X-rays. Input: a cell relaxed with GGA-PBE.
Intensities are scaled so that the largest is 100.

Cell and atoms:
```
KSrCrIn2
1.0
6.1831 0.0000 0.0000
0.0000 6.1831 0.0000
0.0000 0.0000 6.6459
K Sr Cr In
1 1 1 2
Direct
0.0000 0.0000 0.0000
0.0000 0.0000 0.5000
0.5000 0.5000 0.0000
0.0000 0.5000 0.5000
0.5000 0.0000 0.5000
```

The 10 most intense peaks (2θ from 10° to 90°), low angle first:
| two_theta | Rel. int. |
| --- | --- |
| 13.3 | 85 |
| 19.6 | 29 |
| 24.4 | 100 |
| 26.8 | 59 |
| 28.9 | 97 |
| 31.9 | 44 |
| 39.8 | 79 |
| 41.3 | 36 |
| 48.5 | 29 |
| 49.9 | 40 |

***

Q: What is the formula in the seventh record?
A: CrSeI

***

Q: What is the formula in the second record?
A: Rb4CrI5